1.
For CePdS2O, a crystal structure in Alexandria, relaxed with GGA-PBE gives the computed X-ray powder pattern in this record (Cu Kα).
Kinematic intensities with the Lorentz-polarization factor, no thermal factor.

Principal peaks in the range 15° ≤ 2θ ≤ 90°, by intensity:
two_theta, d [Å], Rel. int., index
27.7, 3.223, 100, 1 0 2
33.8, 2.653, 71, 1 1 0
44.7, 2.028, 39, 1 1 4
48.5, 1.876, 30, 2 0 0
56.8, 1.621, 29, 2 1 2
28.4, 3.146, 25, 0 0 4
49.8, 1.831, 21, 1 0 6
37.3, 2.411, 19, 1 0 4

Cell and atoms:
Cell: 3.752 3.752 12.586 Å, 90.00 90.00 90.00°
Space group P4/nmm (No. 129, origin choice 2)
Inequivalent atoms, fractional coordinates:
Ce: 0.250 0.250 0.107 (multiplicity 2)
Pd: 0.250 0.250 0.601 (multiplicity 2)
S: 0.250 0.250 0.412 (multiplicity 2)
S: 0.250 0.250 0.789 (multiplicity 2)
O: 0.250 0.750 0.000 (multiplicity 2)

=====

2.
For Ce4Pm2Sb3O2, a crystal structure in Alexandria, relaxed with GGA-PBE gives the computed X-ray powder pattern in this record (Cu Kα).
Kinematic intensities with the Lorentz-polarization factor, no thermal factor.

Principal peaks in the range 15° ≤ 2θ ≤ 90°, by intensity:
two_theta, d [Å], Rel. int., index
34.0, 2.639, 100, 1 1 6
38.3, 2.349, 58, 2 0 0
27.7, 3.219, 49, 1 1 2
66.5, 1.406, 28, 3 1 6
30.2, 2.960, 23, 1 1 4
55.3, 1.661, 20, 2 2 0
52.4, 1.745, 19, 2 0 10
30.6, 2.919, 18, 1 0 7

Cell and atoms:
Cell: 4.698 4.698 26.071 Å, 90.00 90.00 90.00°
Space group I4/mmm (No. 139)
Inequivalent atoms, fractional coordinates:
Ce: 0.000 0.500 0.084 (multiplicity 8)
Pm: 0.000 0.000 0.198 (multiplicity 4)
Sb: 0.000 0.000 0.322 (multiplicity 4)
Sb: 0.000 0.000 0.500 (multiplicity 2)
O: 0.000 0.000 0.101 (multiplicity 4)

=====

- Number 2 is which compound?
  Ce4Pm2Sb3O2

=====

What did the second record say?
For Ce4Pm2Sb3O2, a crystal structure in Alexandria, relaxed with GGA-PBE gives the computed X-ray powder pattern in this record (Cu Kα).
Kinematic intensities with the Lorentz-polarization factor, no thermal factor.

Principal peaks in the range 15° ≤ 2θ ≤ 90°, by intensity:
two_theta, d [Å], Rel. int., index
34.0, 2.639, 100, 1 1 6
38.3, 2.349, 58, 2 0 0
27.7, 3.219, 49, 1 1 2
66.5, 1.406, 28, 3 1 6
30.2, 2.960, 23, 1 1 4
55.3, 1.661, 20, 2 2 0
52.4, 1.745, 19, 2 0 10
30.6, 2.919, 18, 1 0 7

Cell and atoms:
Cell: 4.698 4.698 26.071 Å, 90.00 90.00 90.00°
Space group I4/mmm (No. 139)
Inequivalent atoms, fractional coordinates:
Ce: 0.000 0.500 0.084 (multiplicity 8)
Pm: 0.000 0.000 0.198 (multiplicity 4)
Sb: 0.000 0.000 0.322 (multiplicity 4)
Sb: 0.000 0.000 0.500 (multiplicity 2)
O: 0.000 0.000 0.101 (multiplicity 4)